# Sm3Se5
Theoretical XRD peak list, Cu Kα (weighted mean of Kα1 and Kα2). Input: a cell relaxed with PBE.

Top 6 peaks for 2θ = 15–90°, in order of falling intensity:
h k l  d_spacing  intensity
3 0 0  2.566  1000
1 1 2  2.457  794
2 1 1  2.609  487
1 1 1  3.549  313
3 0 2  1.936  268
0 0 2  2.948  267

Atomic structure:
Cell lengths 8.8890, 8.8890, 5.8960 Å; angles 90.00, 90.00, 120.00 degrees
Space group P6_3/mcm (No. 193)
Unique sites:
Sm 0.0000 0.3668 0.2500 (multiplicity 6)
Se 0.0000 0.2793 0.7500 (multiplicity 6)
Se 0.3333 0.6667 0.0000 (multiplicity 4)